The following is a theoretical X-ray powder pattern of Li3InO3. It was derived from the GGA-PBE geometry in the Materials Project, using Cu Kα X-rays.
Peak positions follow from Bragg's law for the DFT cell and can differ from measured ones.

Crystal structure
```
data_Li3InO3
_cell_length_a 5.7089
_cell_length_b 5.7089
_cell_length_c 10.4325
_cell_angle_alpha 90.00
_cell_angle_beta 90.00
_cell_angle_gamma 120.00
_symmetry_space_group_name_H-M 'P -3 1 c'
_symmetry_Int_Tables_number 163
_symmetry_space_group_name_Hall '-P 3 2c'
loop_
_atom_site_label
_atom_site_type_symbol
_atom_site_fract_x
_atom_site_fract_y
_atom_site_fract_z
_atom_site_occupancy
Li1 Li 0.0540 0.3711 0.0706 1
In1 In 0.0000 0.0000 0.2500 1
In2 In 0.3333 0.6667 0.7500 1
O1 O 0.0414 0.3381 0.8774 1
```

Principal peaks in the range 10 to 90 degrees two-theta, sorted by position:
2θ/deg  Rel. int.  index
17.0  73  0 0 2
17.9  17  1 0 0
19.9  82  1 0 1
24.8  15  1 0 2
31.3  33  1 1 0
31.5  21  1 0 3
35.9  100  2 -1 2
47.2  61  2 -1 4
49.6  14  3 -1 1
55.8  31  3 0 0
58.8  17  3 0 2
62.6  16  1 1 6

The following is a theoretical X-ray powder pattern of Li4ScIn3Si8O24. It was derived from the GGA-PBE geometry in the Materials Project, using Cu Kα X-rays.
Peak positions follow from Bragg's law for the DFT cell and can differ from measured ones.

Crystal structure
```
data_Li4ScIn3Si8O24
_cell_length_a 5.439
_cell_length_b 9.187
_cell_length_c 9.519
_cell_angle_alpha 90.00
_cell_angle_beta 101.74
_cell_angle_gamma 90.00
_symmetry_space_group_name_H-M 'P 1 2 1'
_symmetry_Int_Tables_number 3
loop_
_symmetry_equiv_pos_as_xyz
'x,y,z'
'-x,y,-z'
loop_
_atom_site_label
_atom_site_type_symbol
_atom_site_fract_x
_atom_site_fract_y
_atom_site_fract_z
_atom_site_occupancy
Li1 Li 0.000 0.000 0.000 1
Li2 Li 0.000 0.005 0.500 1
Li3 Li 0.500 0.498 0.500 1
Li4 Li 0.500 0.503 0.000 1
Sc1 Sc 0.500 0.141 0.500 1
In1 In 0.000 0.358 0.500 1
In2 In 0.000 0.643 0.000 1
In3 In 0.500 0.860 0.000 1
Si1 Si 0.228 0.667 0.699 1
Si2 Si 0.229 0.336 0.200 1
Si3 Si 0.273 0.167 0.800 1
Si4 Si 0.273 0.837 0.302 1
O1 O 0.055 0.267 0.852 1
O2 O 0.055 0.738 0.354 1
O3 O 0.208 0.836 0.123 1
O4 O 0.218 0.167 0.622 1
O5 O 0.243 0.508 0.628 1
O6 O 0.244 0.495 0.129 1
O7 O 0.256 0.008 0.871 1
O8 O 0.272 0.996 0.376 1
O9 O 0.291 0.668 0.877 1
O10 O 0.293 0.332 0.378 1
O11 O 0.444 0.236 0.146 1
O12 O 0.445 0.767 0.647 1
```

Principal peaks in the range 10 to 90 degrees two-theta, sorted by position:
2θ/deg  Rel. int.  index
13.5  91  0 1 1
19.3  68  0 2 0
24.7  48  1 1 -2
28.6  100  1 2 1
30.4  62  0 1 3
33.8  27  1 3 0
35.3  27  2 0 -2
36.1  33  1 2 -3
40.8  21  1 3 2
41.5  18  1 2 3
54.4  20  3 2 -1
55.0  24  1 3 4

The following is a theoretical X-ray powder pattern of LiIn2Pd. It was derived from the GGA-PBE geometry in the Materials Project, using Cu Kα X-rays.
Peak positions follow from Bragg's law for the DFT cell and can differ from measured ones.

Crystal structure
```
data_LiIn2Pd
_cell_length_a 6.640
_cell_length_b 6.640
_cell_length_c 6.640
_cell_angle_alpha 90.00
_cell_angle_beta 90.00
_cell_angle_gamma 90.00
_symmetry_space_group_name_H-M 'F m -3 m'
_symmetry_Int_Tables_number 225
_symmetry_space_group_name_Hall '-F 4 2 3'
loop_
_atom_site_label
_atom_site_type_symbol
_atom_site_fract_x
_atom_site_fract_y
_atom_site_fract_z
_atom_site_occupancy
Li1 Li 0.000 0.000 0.000 1
In1 In 0.250 0.250 0.250 1
Pd1 Pd 0.000 0.000 0.500 1
```

Principal peaks in the range 10 to 90 degrees two-theta, sorted by position:
2θ/deg  Rel. int.  index
23.2  22  1 1 1
26.9  15  2 0 0
38.3  100  2 2 0
45.3  11  3 1 1
47.4  4  2 2 2
55.3  17  4 0 0
60.8  4  3 3 1
62.6  5  4 2 0
69.3  33  4 2 2
74.2  3  5 1 1
82.1  10  4 4 0
86.8  3  5 3 1

The following is a theoretical X-ray powder pattern of Li2PmIn. It was derived from the GGA-PBE geometry in the Materials Project, using Cu Kα X-rays.
Peak positions follow from Bragg's law for the DFT cell and can differ from measured ones.

Crystal structure
```
data_Li2PmIn
_cell_length_a 6.982
_cell_length_b 6.982
_cell_length_c 6.982
_cell_angle_alpha 90.00
_cell_angle_beta 90.00
_cell_angle_gamma 90.00
_symmetry_space_group_name_H-M 'F m -3 m'
_symmetry_Int_Tables_number 225
_symmetry_space_group_name_Hall '-F 4 2 3'
loop_
_atom_site_label
_atom_site_type_symbol
_atom_site_fract_x
_atom_site_fract_y
_atom_site_fract_z
_atom_site_occupancy
Li1 Li 0.250 0.250 0.250 1
Pm1 Pm 0.000 0.000 0.000 1
In1 In 0.000 0.000 0.500 1
```

Principal peaks in the range 10 to 90 degrees two-theta, sorted by position:
2θ/deg  Rel. int.  index
22.1  3  1 1 1
25.5  100  2 0 0
36.4  92  2 2 0
43.0  1  3 1 1
45.0  29  2 2 2
52.4  16  4 0 0
57.5  1  3 3 1
59.2  38  4 2 0
65.5  32  4 2 2
77.3  10  4 4 0
83.0  18  6 0 0
88.6  15  6 2 0

The following is a theoretical X-ray powder pattern of Li2PrIn. It was derived from the GGA-PBE geometry in the Materials Project, using Cu Kα X-rays.
Peak positions follow from Bragg's law for the DFT cell and can differ from measured ones.

Crystal structure
```
data_Li2PrIn
_cell_length_a 7.047
_cell_length_b 7.047
_cell_length_c 7.047
_cell_angle_alpha 90.00
_cell_angle_beta 90.00
_cell_angle_gamma 90.00
_symmetry_space_group_name_H-M 'F m -3 m'
_symmetry_Int_Tables_number 225
_symmetry_space_group_name_Hall '-F 4 2 3'
loop_
_atom_site_label
_atom_site_type_symbol
_atom_site_fract_x
_atom_site_fract_y
_atom_site_fract_z
_atom_site_occupancy
Li1 Li 0.250 0.250 0.250 1
Pr1 Pr 0.000 0.000 0.000 1
In1 In 0.000 0.000 0.500 1
```

Principal peaks in the range 10 to 90 degrees two-theta, sorted by position:
2θ/deg  Rel. int.  index
21.8  2  1 1 1
25.3  100  2 0 0
36.0  93  2 2 0
42.5  1  3 1 1
44.5  29  2 2 2
51.9  16  4 0 0
57.0  1  3 3 1
58.6  38  4 2 0
64.8  33  4 2 2
76.5  10  4 4 0
82.0  18  6 0 0
87.6  15  6 2 0

The following is a theoretical X-ray powder pattern of Li2InPt. It was derived from the GGA-PBE geometry in the Materials Project, using Cu Kα X-rays.
Peak positions follow from Bragg's law for the DFT cell and can differ from measured ones.

Crystal structure
```
data_Li2InPt
_cell_length_a 6.383
_cell_length_b 6.383
_cell_length_c 6.383
_cell_angle_alpha 90.00
_cell_angle_beta 90.00
_cell_angle_gamma 90.00
_symmetry_space_group_name_H-M 'F -4 3 m'
_symmetry_Int_Tables_number 216
_symmetry_space_group_name_Hall 'F -4 2 3'
loop_
_atom_site_label
_atom_site_type_symbol
_atom_site_fract_x
_atom_site_fract_y
_atom_site_fract_z
_atom_site_occupancy
Li1 Li 0.000 0.000 0.000 1
Li2 Li 0.250 0.250 0.250 1
In1 In 0.000 0.000 0.500 1
Pt1 Pt 0.250 0.250 0.750 1
```

Principal peaks in the range 10 to 90 degrees two-theta, sorted by position:
2θ/deg  Rel. int.  index
24.1  100  1 1 1
28.0  6  2 0 0
39.9  87  2 2 0
47.2  50  3 1 1
49.5  2  2 2 2
57.8  15  4 0 0
63.5  21  3 3 1
65.4  3  4 2 0
72.5  30  4 2 2
77.7  16  5 1 1
86.2  10  4 4 0

The following is a theoretical X-ray powder pattern of LiIn2Pt. It was derived from the GGA-PBE geometry in the Materials Project, using Cu Kα X-rays.
Peak positions follow from Bragg's law for the DFT cell and can differ from measured ones.

Crystal structure
```
data_LiIn2Pt
_cell_length_a 6.622
_cell_length_b 6.622
_cell_length_c 6.622
_cell_angle_alpha 90.00
_cell_angle_beta 90.00
_cell_angle_gamma 90.00
_symmetry_space_group_name_H-M 'F m -3 m'
_symmetry_Int_Tables_number 225
_symmetry_space_group_name_Hall '-F 4 2 3'
loop_
_atom_site_label
_atom_site_type_symbol
_atom_site_fract_x
_atom_site_fract_y
_atom_site_fract_z
_atom_site_occupancy
Li1 Li 0.000 0.000 0.000 1
In1 In 0.250 0.250 0.250 1
Pt1 Pt 0.000 0.000 0.500 1
```

Principal peaks in the range 10 to 90 degrees two-theta, sorted by position:
2θ/deg  Rel. int.  index
23.3  45  1 1 1
26.9  1  2 0 0
38.5  100  2 2 0
45.4  24  3 1 1
55.5  17  4 0 0
61.0  10  3 3 1
69.5  34  4 2 2
74.4  7  5 1 1
82.4  11  4 4 0
87.1  8  5 3 1